(1)
This entry pairs a crystal structure of Mg6AlZn with its computed powder diffractogram. Radiation: Cu Kα. Structure: a PBE-relaxed structure.
No peak broadening, texture or thermal motion is included.

Cell and atoms:
Cell: 4.984 6.187 10.796 Å, 90.00 90.00 90.00°
Positions (direct):
Mg  0.000  0.000  0.000
Mg  0.000  0.245  0.253
Mg  0.000  0.255  0.753
Mg  0.000  0.500  0.500
Mg  0.000  0.745  0.753
Mg  0.000  0.755  0.253
Mg  0.500  0.000  0.834
Mg  0.500  0.246  0.582
Mg  0.500  0.254  0.082
Mg  0.500  0.500  0.334
Mg  0.500  0.746  0.082
Mg  0.500  0.754  0.582
Al  0.000  0.000  0.499
Al  0.000  0.500  0.999
Zn  0.500  0.000  0.334
Zn  0.500  0.500  0.834

Largest 10 diffraction maxima, by angle, 2θ = 10–80°:
2θ/deg, d_spacing, I (rel.)
16.48, 5.378, 27
24.35, 3.656, 19
33.38, 2.684, 25
36.04, 2.492, 38
37.91, 2.373, 49
38.08, 2.363, 100
49.94, 1.826, 16
59.42, 1.555, 17
66.15, 1.413, 18
71.50, 1.319, 19

***

(2)
This entry pairs a crystal structure of Mg6AlZn with its computed powder diffractogram. Radiation: Cu Kα. Structure: a PBE-relaxed structure.
No peak broadening, texture or thermal motion is included.

Cell and atoms:
Cell: 4.954 6.269 10.702 Å, 90.00 90.00 90.00°
Positions (direct):
Mg  0.000  0.000  0.000
Mg  0.000  0.000  0.499
Mg  0.000  0.249  0.244
Mg  0.000  0.251  0.744
Mg  0.000  0.500  0.500
Mg  0.000  0.500  0.999
Mg  0.000  0.749  0.744
Mg  0.000  0.751  0.244
Mg  0.500  0.250  0.414
Mg  0.500  0.250  0.914
Mg  0.500  0.750  0.414
Mg  0.500  0.750  0.914
Al  0.500  0.000  0.663
Al  0.500  0.500  0.163
Zn  0.500  0.000  0.163
Zn  0.500  0.500  0.663

Largest 10 diffraction maxima, by angle, 2θ = 10–80°:
2θ/deg, d_spacing, I (rel.)
16.39, 5.409, 15
33.12, 2.705, 27
36.27, 2.477, 37
37.90, 2.374, 100
38.23, 2.354, 49
49.93, 1.827, 16
59.64, 1.550, 16
66.32, 1.409, 18
71.84, 1.314, 18
72.45, 1.305, 14

***

(3)
This entry pairs a crystal structure of Mg4AlZn11 with its computed powder diffractogram. Radiation: Cu Kα. Structure: a PBE-relaxed structure.
No peak broadening, texture or thermal motion is included.

Cell and atoms:
Cell: 11.816 5.238 5.238 Å, 61.33 90.00 90.00°
Positions (direct):
Mg  0.117  0.000  0.000
Mg  0.165  0.334  0.334
Mg  0.835  0.334  0.334
Mg  0.883  0.000  0.000
Al  0.500  0.662  0.662
Zn  0.113  0.663  0.663
Zn  0.310  0.333  0.833
Zn  0.310  0.833  0.333
Zn  0.311  0.833  0.833
Zn  0.397  0.332  0.332
Zn  0.500  0.002  0.002
Zn  0.603  0.332  0.332
Zn  0.689  0.833  0.833
Zn  0.690  0.333  0.833
Zn  0.690  0.833  0.333
Zn  0.887  0.663  0.663

Largest 10 diffraction maxima, by angle, 2θ = 10–80°:
2θ/deg, d_spacing, I (rel.)
15.00, 5.908, 41
34.25, 2.618, 45
39.20, 2.298, 58
39.99, 2.254, 72
40.80, 2.212, 46
41.41, 2.180, 50
42.20, 2.142, 56
43.02, 2.102, 100
45.72, 1.984, 93
46.40, 1.957, 56

***

(4)
This entry pairs a crystal structure of Mg6ZrAl with its computed powder diffractogram. Radiation: Cu Kα. Structure: a PBE-relaxed structure.
No peak broadening, texture or thermal motion is included.

Cell and atoms:
Cell: 5.037 6.107 11.231 Å, 90.00 90.00 90.00°
Positions (direct):
Mg  0.000  0.000  0.000
Mg  0.000  0.000  0.497
Mg  0.000  0.248  0.753
Mg  0.000  0.252  0.253
Mg  0.000  0.500  0.500
Mg  0.000  0.500  0.997
Mg  0.000  0.748  0.253
Mg  0.000  0.752  0.753
Mg  0.500  0.249  0.090
Mg  0.500  0.251  0.590
Mg  0.500  0.749  0.590
Mg  0.500  0.751  0.090
Zr  0.500  0.000  0.843
Zr  0.500  0.500  0.343
Al  0.500  0.000  0.337
Al  0.500  0.500  0.837

Largest 10 diffraction maxima, by angle, 2θ = 10–80°:
2θ/deg, d_spacing, I (rel.)
15.78, 5.616, 21
16.52, 5.365, 32
24.24, 3.672, 26
33.40, 2.683, 33
35.65, 2.518, 41
36.64, 2.453, 63
38.00, 2.368, 100
49.65, 1.836, 21
57.76, 1.596, 21
69.76, 1.348, 21

***

(5)
This entry pairs a crystal structure of Mg6ZrAl with its computed powder diffractogram. Radiation: Cu Kα. Structure: a PBE-relaxed structure.
No peak broadening, texture or thermal motion is included.

Cell and atoms:
Cell: 4.933 6.406 11.023 Å, 90.00 90.00 90.00°
Positions (direct):
Mg  0.000  0.000  0.000
Mg  0.000  0.247  0.752
Mg  0.000  0.253  0.252
Mg  0.000  0.500  0.500
Mg  0.000  0.747  0.252
Mg  0.000  0.753  0.752
Mg  0.500  0.000  0.167
Mg  0.500  0.249  0.418
Mg  0.500  0.251  0.918
Mg  0.500  0.500  0.667
Mg  0.500  0.749  0.918
Mg  0.500  0.751  0.418
Zr  0.000  0.000  0.509
Zr  0.000  0.500  0.009
Al  0.500  0.000  0.657
Al  0.500  0.500  0.157

Largest 10 diffraction maxima, by angle, 2θ = 10–80°:
2θ/deg, d_spacing, I (rel.)
16.03, 5.530, 57
24.18, 3.681, 36
32.33, 2.769, 34
36.42, 2.467, 37
37.23, 2.415, 100
37.38, 2.406, 56
49.48, 1.842, 20
57.86, 1.594, 21
66.12, 1.413, 27
70.33, 1.339, 19

***

(6)
This entry pairs a crystal structure of Mn3Al with its computed powder diffractogram. Radiation: Cu Kα. Structure: a PBE-relaxed structure.
No peak broadening, texture or thermal motion is included.

Cell and atoms:
Cell: 5.716 5.716 5.716 Å, 90.00 90.00 90.00°
Positions (direct):
Mn  0.000  0.000  0.000
Mn  0.000  0.500  0.500
Mn  0.250  0.250  0.250
Mn  0.250  0.250  0.750
Mn  0.250  0.750  0.250
Mn  0.250  0.750  0.750
Mn  0.500  0.000  0.500
Mn  0.500  0.500  0.000
Mn  0.750  0.250  0.250
Mn  0.750  0.250  0.750
Mn  0.750  0.750  0.250
Mn  0.750  0.750  0.750
Al  0.000  0.000  0.500
Al  0.000  0.500  0.000
Al  0.500  0.000  0.000
Al  0.500  0.500  0.500

Largest 8 diffraction maxima, by angle, 2θ = 10–80°:
2θ/deg, d_spacing, I (rel.)
27.02, 3.300, 6
31.30, 2.858, 3
44.85, 2.021, 100
53.14, 1.723, 2
55.71, 1.650, 1
65.30, 1.429, 15
72.01, 1.311, 1
74.19, 1.278, 1

***

(7)
This entry pairs a crystal structure of Mn4Al11 with its computed powder diffractogram. Radiation: Cu Kα. Structure: a PBE-relaxed structure.
No peak broadening, texture or thermal motion is included.

Cell and atoms:
Cell: 5.026 5.047 8.774 Å, 105.30 90.08 100.41°
Positions (direct):
Mn  0.165  0.111  0.367
Mn  0.214  0.350  0.901
Mn  0.786  0.650  0.099
Mn  0.835  0.889  0.633
Al  0.007  0.608  0.375
Al  0.067  0.828  0.874
Al  0.301  0.770  0.132
Al  0.345  0.031  0.627
Al  0.449  0.319  0.175
Al  0.500  0.500  0.500
Al  0.551  0.681  0.825
Al  0.655  0.969  0.373
Al  0.699  0.230  0.868
Al  0.933  0.172  0.126
Al  0.993  0.392  0.625

Largest 10 diffraction maxima, by angle, 2θ = 10–80°:
2θ/deg, d_spacing, I (rel.)
23.34, 3.811, 29
24.07, 3.697, 25
41.38, 2.182, 52
41.93, 2.155, 100
42.52, 2.126, 43
42.63, 2.121, 43
42.80, 2.113, 53
43.67, 2.073, 38
43.93, 2.061, 38
45.22, 2.005, 29

***

(8)
This entry pairs a crystal structure of MnAl6 with its computed powder diffractogram. Radiation: Cu Kα. Structure: a PBE-relaxed structure.
No peak broadening, texture or thermal motion is included.

Cell and atoms:
Cell: 4.964 4.964 8.819 Å, 90.00 90.00 81.18°
Positions (direct):
Mn  0.043  0.957  0.750
Mn  0.957  0.043  0.250
Al  0.104  0.531  0.250
Al  0.173  0.173  0.000
Al  0.173  0.173  0.500
Al  0.360  0.640  0.600
Al  0.360  0.640  0.900
Al  0.469  0.896  0.250
Al  0.531  0.104  0.750
Al  0.640  0.360  0.100
Al  0.640  0.360  0.400
Al  0.827  0.827  0.000
Al  0.827  0.827  0.500
Al  0.896  0.469  0.750

Largest 10 diffraction maxima, by angle, 2θ = 10–80°:
2θ/deg, d_spacing, I (rel.)
18.08, 4.906, 33
27.19, 3.279, 18
39.82, 2.264, 43
40.93, 2.205, 18
41.54, 2.174, 25
42.16, 2.144, 59
43.75, 2.069, 100
44.97, 2.016, 20
45.08, 2.011, 38
48.31, 1.884, 17

***

(9)
This entry pairs a crystal structure of MnAl12 with its computed powder diffractogram. Radiation: Cu Kα. Structure: a PBE-relaxed structure.
No peak broadening, texture or thermal motion is included.

Cell and atoms:
Cell: 6.496 6.496 6.496 Å, 109.47 109.47 109.47°
Positions (direct):
Mn  0.000  0.000  0.000
Al  0.117  0.814  0.303
Al  0.186  0.303  0.489
Al  0.186  0.697  0.883
Al  0.303  0.117  0.814
Al  0.303  0.489  0.186
Al  0.489  0.186  0.303
Al  0.511  0.814  0.697
Al  0.697  0.511  0.814
Al  0.697  0.883  0.186
Al  0.814  0.303  0.117
Al  0.814  0.697  0.511
Al  0.883  0.186  0.697

Largest 10 diffraction maxima, by angle, 2θ = 10–80°:
2θ/deg, d_spacing, I (rel.)
16.72, 5.304, 39
29.16, 3.062, 9
37.93, 2.372, 100
41.71, 2.165, 54
45.23, 2.005, 88
48.55, 1.875, 16
63.21, 1.471, 14
73.64, 1.286, 35
76.15, 1.250, 11
78.63, 1.217, 38

***

(10)
This entry pairs a crystal structure of MnAl with its computed powder diffractogram. Radiation: Cu Kα. Structure: a PBE-relaxed structure.
No peak broadening, texture or thermal motion is included.

Cell and atoms:
Cell: 2.753 2.753 3.500 Å, 90.00 90.00 90.00°
Positions (direct):
Mn  0.000  0.000  0.000
Al  0.500  0.500  0.500

Largest 10 diffraction maxima, by angle, 2θ = 10–80°:
2θ/deg, d_spacing, I (rel.)
25.45, 3.500, 12
32.52, 2.753, 13
41.74, 2.164, 100
46.66, 1.947, 36
52.28, 1.750, 12
53.89, 1.701, 5
62.93, 1.477, 3
68.12, 1.377, 11
72.65, 1.301, 17
74.00, 1.281, 2